Record 1
For PrDy2S4, a cell relaxed with GGA-PBE gives the simulated powder diffraction line list in this record (Cu Kα, 1.54184 Å).
Kinematic intensities with the Lorentz-polarization factor, no thermal factor.

Main lines, low angle first (2θ = 5–70°):
24.99°, rel. 38
25.71°, rel. 100
27.12°, rel. 67
27.35°, rel. 34
30.60°, rel. 29
37.41°, rel. 56
38.05°, rel. 24
38.60°, rel. 22
46.54°, rel. 43
53.96°, rel. 27

Structural model:
a b c (Å): 11.8970 3.8993 14.2532
angles (deg): 90.00 90.00 90.00
Element x y z (fractional)
1 Pr 0.2452 0.2500 0.1668
2 Pr 0.2548 0.7500 0.6668
3 Pr 0.7452 0.2500 0.3332
4 Pr 0.7548 0.7500 0.8332
5 Dy 0.0661 0.2500 0.3893
6 Dy 0.0892 0.2500 0.9040
7 Dy 0.4108 0.7500 0.4040
8 Dy 0.4339 0.7500 0.8893
9 Dy 0.5661 0.2500 0.1107
10 Dy 0.5892 0.2500 0.5960
11 Dy 0.9108 0.7500 0.0960
12 Dy 0.9339 0.7500 0.6107
13 S 0.0322 0.7500 0.7829
14 S 0.0938 0.2500 0.5790
15 S 0.1322 0.7500 0.0358
16 S 0.2035 0.7500 0.3178
17 S 0.2965 0.2500 0.8178
18 S 0.3678 0.2500 0.5358
19 S 0.4062 0.7500 0.0790
20 S 0.4678 0.2500 0.2829
21 S 0.5322 0.7500 0.7171
22 S 0.5938 0.2500 0.9210
23 S 0.6322 0.7500 0.4642
24 S 0.7035 0.7500 0.1822
25 S 0.7965 0.2500 0.6822
26 S 0.8678 0.2500 0.9642
27 S 0.9062 0.7500 0.4210
28 S 0.9678 0.2500 0.2171


Record 2
For Pr4DyS7, a cell relaxed with GGA-PBE gives the simulated powder diffraction line list in this record (Cu Kα, 1.54184 Å).
Kinematic intensities with the Lorentz-polarization factor, no thermal factor.

Main lines, low angle first (2θ = 5–70°):
23.23°, rel. 100
23.49°, rel. 33
23.64°, rel. 90
25.31°, rel. 40
26.66°, rel. 44
30.26°, rel. 43
31.85°, rel. 69
33.01°, rel. 43
40.77°, rel. 38
45.80°, rel. 33

Structural model:
a b c (Å): 6.9764 6.9764 11.9447
angles (deg): 104.58 104.58 33.00
Element x y z (fractional)
1 Pr 0.0000 0.0000 0.0000
2 Pr 0.1903 0.1903 0.7680
3 Pr 0.5872 0.5872 0.3821
4 Pr 0.8879 0.8879 0.5721
5 Dy 0.7764 0.7764 0.1528
6 S 0.1572 0.1572 0.2223
7 S 0.2271 0.2271 0.5234
8 S 0.3829 0.3829 0.0788
9 S 0.5487 0.5487 0.6259
10 S 0.6318 0.6318 0.9329
11 S 0.8476 0.8476 0.7902
12 S 0.9276 0.9276 0.3528